Cs2Na7Tl12: computed powder XRD pattern (λ = 1.5418 Å (Cu Kα)), based on a PBE-relaxed structure.
Neutral-atom scattering factors, no anomalous dispersion.

The 10 most intense peaks (15 to 90 degrees two-theta), in order of rising 2θ:
h k l, Position (°2θ), Rel. int.
2 1 0, 18.36, 682
0 0 1, 24.78, 133
2 1 1, 31.02, 755
1 4 0, 32.08, 1000
1 3 1, 35.57, 156
4 2 0, 37.22, 118
5 -1 1, 40.96, 293
6 -4 1, 45.23, 249
7 0 1, 56.53, 249
6 3 0, 57.19, 175

Atomic structure:
Cell lengths 14.7620, 14.7620, 3.5926 Å; angles 90.00, 90.00, 120.00 degrees
Fractional coordinates of all 21 atoms:
Cs: 0.3333 0.6667 0.2272
Cs: 0.6667 0.3333 0.7728
Na: 0.0000 0.0000 0.5000
Na: 0.1296 0.7345 0.5463
Na: 0.2655 0.3951 0.5463
Na: 0.3951 0.1296 0.4537
Na: 0.6049 0.8704 0.5463
Na: 0.7345 0.6049 0.4537
Na: 0.8704 0.2655 0.4537
Tl: 0.0478 0.2392 0.0121
Tl: 0.0799 0.4730 0.7760
Tl: 0.1914 0.9522 0.0121
Tl: 0.2392 0.1914 0.9879
Tl: 0.3931 0.9201 0.7760
Tl: 0.4730 0.3931 0.2240
Tl: 0.5270 0.6069 0.7760
Tl: 0.6069 0.0799 0.2240
Tl: 0.7608 0.8086 0.0121
Tl: 0.8086 0.0478 0.9879
Tl: 0.9201 0.5270 0.2240
Tl: 0.9522 0.7608 0.9879